Record 1
NaAsSeS: computed X-ray diffraction stick pattern (Cu Kα (λ = 1.5418 Å)), based on the GGA-PBE geometry in Alexandria.

Atomic structure:
Lattice parameters (Å, degrees): 3.8591 4.1731 6.2326 84.66 89.94 89.86
Space group P1 (No. 1)
Asymmetric unit:
Na 0.0000 0.0000 0.0000 (multiplicity 1)
As 0.4990 0.4340 0.4118 (multiplicity 1)
Se 0.0022 0.0366 0.5030 (multiplicity 1)
S 0.4998 0.4916 0.0583 (multiplicity 1)

Largest 10 diffraction maxima, in order of rising 2θ, 2θ = 10–90°:
- 14.27°, I = 83, (0 0 1)
- 24.65°, I = 24, (0 1 1)
- 28.77°, I = 43, (0 0 2)
- 31.64°, I = 100, (1 -1 0)
- 35.72°, I = 20, (1 1 -1)
- 41.84°, I = 19, (-1 1 2)
- 43.56°, I = 16, (0 2 0)
- 44.71°, I = 33, (1 1 -2)
- 47.10°, I = 17, (2 0 0)
- 56.15°, I = 16, (2 0 -2)

Record 2
MnSnAsPtI: computed X-ray diffraction stick pattern (Cu Kα (λ = 1.5418 Å)), based on the GGA-PBE geometry in Alexandria.

Atomic structure:
Lattice parameters (Å, degrees): 3.6541 3.7259 8.7043 90.00 90.00 90.00
Space group Pmm2 (No. 25)
Asymmetric unit:
Mn 0.0000 0.0000 0.0000 (multiplicity 1)
Sn 0.5000 0.0000 0.6264 (multiplicity 1)
As 0.5000 0.5000 0.9718 (multiplicity 1)
Pt 0.0000 0.5000 0.7600 (multiplicity 1)
I 0.0000 0.0000 0.2991 (multiplicity 1)

Largest 10 diffraction maxima, in order of rising 2θ, 2θ = 10–90°:
- 10.16°, I = 80, (0 0 1)
- 26.01°, I = 53, (0 1 1)
- 31.98°, I = 51, (1 0 2)
- 35.94°, I = 100, (1 1 1)
- 39.36°, I = 31, (0 1 3)
- 40.31°, I = 36, (1 1 2)
- 46.83°, I = 20, (1 1 3)
- 48.70°, I = 20, (1 0 4)
- 48.89°, I = 19, (0 2 0)
- 49.91°, I = 18, (2 0 0)